Structure and computed PXRD pattern of Na2UTa2S6 (DFT lattice parameters and positions (GGA-PBE); Cu Kα (weighted mean of Kα1 and Kα2)).
No peak broadening, texture or thermal motion is included.

Structural model:
a b c (Å): 6.0820 6.0820 7.3280
angles (deg): 97.21 97.21 118.42
Fractional positions:
1 Na 0.1695 0.8305 0.0000
2 Na 0.8305 0.1695 0.0000
3 U 0.0000 0.0000 0.5000
4 Ta 0.3500 0.6500 0.5000
5 Ta 0.6500 0.3500 0.5000
6 S 0.0617 0.4132 0.7122
7 S 0.2768 0.2768 0.2719
8 S 0.4132 0.0617 0.7122
9 S 0.5868 0.9383 0.2878
10 S 0.7232 0.7232 0.7281
11 S 0.9383 0.5868 0.2878

Largest 10 diffraction maxima, sorted by position, 15° ≤ 2θ ≤ 90°:
| two_theta | I (rel.) |
| --- | --- |
| 25.07 | 32 |
| 29.17 | 32 |
| 29.61 | 73 |
| 30.75 | 34 |
| 33.67 | 100 |
| 33.93 | 56 |
| 41.58 | 33 |
| 45.71 | 40 |
| 51.27 | 30 |
| 52.53 | 27 |